Record 1
Theoretical PXRD pattern
Compound: Cs2SrAg2H6
Radiation: a wavelength of 1.5418 Å
Structure: DFT lattice parameters and positions (GGA-PBE)
No peak broadening, texture or thermal motion is included.

Structure:
Cell: 11.0896 6.3834 7.3933 Å, 90.00 119.10 90.00°
Space group C2/m (No. 12)
Symmetry-distinct sites (fractional):
Cs 0.2173 0.0000 0.1529
Sr 0.0000 0.0000 0.5000
Ag 0.0844 0.5000 0.2567
H 0.0016 0.2553 0.2540
H 0.2498 0.0000 0.7340

Most intense lines, 2θ from 5° to 70°, sorted by position:
hkl	Position (°2θ)	Rel. int.
0 2 0	27.91	100.0
1 1 -2	28.21	41.4
2 2 1	39.90	18.9
4 0 -3	40.29	7.8
5 1 0	49.13	8.5
6 0 -2	49.31	5.3
3 3 -1	49.42	10.6
1 3 -2	49.62	8.4
4 2 -3	49.75	12.1
6 2 -2	57.63	7.9

Record 2
Theoretical PXRD pattern
Compound: Cs2HfAgI6
Radiation: a wavelength of 1.5418 Å
Structure: DFT lattice parameters and positions (GGA-PBE)
No peak broadening, texture or thermal motion is included.

Structure:
Cell: 8.4688 8.4688 12.0008 Å, 90.00 90.00 90.00°
Space group I4/mmm (No. 139)
Symmetry-distinct sites (fractional):
Cs 0.0000 0.5000 0.2500
Hf 0.0000 0.0000 0.0000
Ag 0.0000 0.0000 0.5000
I 0.0000 0.0000 0.2419
I 0.2425 0.2425 0.0000

Most intense lines, 2θ from 5° to 70°, sorted by position:
hkl	Position (°2θ)	Rel. int.
1 1 0	14.78	25.1
2 0 0	20.97	25.4
2 0 2	25.75	60.4
2 2 0	29.82	100.0
3 1 0	33.44	13.4
3 1 2	36.74	11.8
4 0 0	42.68	73.7
4 2 2	50.51	26.9
4 0 4	52.93	25.8
6 0 2	68.22	10.7